LiVPHO5: calculated X-ray diffraction stick pattern (Cu Kα (weighted mean of Kα1 and Kα2)), based on a cell relaxed with GGA+U.
Lines closer than 0.1° are merged.

Top 8 peaks for 2θ from 15° to 90°, low angle first:
15.49°, rel. 100, (0 1 0); 17.60°, rel. 13, (0 1 -1); 27.13°, rel. 17, (1 1 0); 28.57°, rel. 14, (0 1 -2); 29.47°, rel. 20, (0 0 2); 30.64°, rel. 15, (1 -2 0); 31.47°, rel. 14, (1 1 -2); 35.79°, rel. 19, (2 0 0)

Cell and atoms:
Unit cell a=5.4430 b=6.2274 c=6.5776 alpha=104.22 beta=103.36 gamma=104.16
Space group P-1 (No. 2)
Unique sites:
Li 0.0000 0.0000 0.0000 x1
Li 0.0000 0.0000 0.5000 x1
V 0.2429 0.6181 0.2288 x2
P 0.3461 0.5501 0.7311 x2
H 0.3394 0.0540 0.3341 x2
O 0.1674 0.5848 0.8856 x2
O 0.1799 0.9171 0.2580 x2
O 0.2580 0.6496 0.5448 x2
O 0.3323 0.2893 0.6539 x2
O 0.3509 0.3237 0.1408 x2

***

Na3V5O10: calculated X-ray diffraction stick pattern (Cu Kα (weighted mean of Kα1 and Kα2)), based on a cell relaxed with GGA+U.
Lines closer than 0.1° are merged.

Top 8 peaks for 2θ from 15° to 90°, low angle first:
15.93°, rel. 100, (1 0 -1); 32.19°, rel. 11, (2 0 -2); 35.81°, rel. 11, (1 -3 0); 40.16°, rel. 31, (3 -2 1); 40.55°, rel. 30, (1 3 -2); 41.65°, rel. 27, (0 1 3); 56.53°, rel. 7, (4 1 -1); 60.23°, rel. 8, (2 -5 3)

Cell and atoms:
Unit cell a=7.2767 b=8.0877 c=8.3352 alpha=111.24 beta=91.84 gamma=104.89
Space group P-1 (No. 2)
Unique sites:
Na 0.1530 0.0450 0.1478 x2
Na 0.2487 0.7462 0.2477 x2
Na 0.3475 0.4504 0.3480 x2
V 0.0000 0.0000 0.5000 x1
V 0.1017 0.7035 0.6052 x2
V 0.1990 0.4021 0.7045 x2
V 0.3097 0.0986 0.7945 x2
V 0.4021 0.7987 0.8963 x2
V 0.5000 0.5000 0.0000 x1
O 0.0482 0.5330 0.3622 x2
O 0.0566 0.1629 0.7383 x2
O 0.1334 0.2250 0.4466 x2
O 0.1493 0.8654 0.8408 x2
O 0.2289 0.9184 0.5450 x2
O 0.2688 0.5751 0.9501 x2
O 0.3338 0.6199 0.6447 x2
O 0.3567 0.2725 0.0473 x2
O 0.4532 0.3396 0.7604 x2
O 0.4566 0.9719 0.1503 x2